[1]
# MnCO3
Simulated powder diffractogram, Cu Kα (weighted mean of Kα1 and Kα2). Input: the GGA+U geometry in the Materials Project.

Atomic structure:
```
data_MnCO3
_symmetry_space_group_name_H-M 'P 1'
_symmetry_Int_Tables_number 1
_cell_length_a 3.851
_cell_length_b 4.867
_cell_length_c 6.200
_cell_angle_alpha 89.54
_cell_angle_beta 73.79
_cell_angle_gamma 89.89
loop_
_symmetry_equiv_pos_as_xyz
'x,y,z'
loop_
_atom_site_label
_atom_site_fract_x
_atom_site_fract_y
_atom_site_fract_z
_atom_site_occupancy
Mn1 0.008 0.313 0.250 1
Mn2 0.992 0.687 0.750 1
C1 0.499 0.188 0.750 1
C2 0.501 0.812 0.250 1
O1 0.234 0.681 0.384 1
O2 0.240 0.326 0.884 1
O3 0.492 0.921 0.751 1
O4 0.508 0.079 0.249 1
O5 0.760 0.674 0.116 1
O6 0.766 0.319 0.616 1
```

Peak list (8 most intense, 15° ≤ 2θ ≤ 90°, sorted by position)
30.0°, 2.977 Å, I 100, (0 0 2)
30.4°, 2.945 Å, I 53, (1 1 0)
30.7°, 2.915 Å, I 79, (1 1 1)
30.8°, 2.903 Å, I 84, (1 -1 1)
36.9°, 2.434 Å, I 37, (0 2 0)
49.2°, 1.851 Å, I 25, (1 1 3)
49.5°, 1.842 Å, I 39, (0 1 3)
51.0°, 1.790 Å, I 32, (2 -1 1)

[2]
# MnPCO4
Simulated powder diffractogram, Cu Kα (weighted mean of Kα1 and Kα2). Input: the GGA+U geometry in the Materials Project.

Atomic structure:
```
data_MnPCO4
_symmetry_space_group_name_H-M 'P 1'
_symmetry_Int_Tables_number 1
_cell_length_a 9.765
_cell_length_b 5.386
_cell_length_c 8.839
_cell_angle_alpha 90.00
_cell_angle_beta 90.00
_cell_angle_gamma 90.00
loop_
_symmetry_equiv_pos_as_xyz
'x,y,z'
loop_
_atom_site_label
_atom_site_fract_x
_atom_site_fract_y
_atom_site_fract_z
_atom_site_occupancy
Mn1 0.229 0.104 0.000 1
Mn2 0.271 0.604 0.500 1
Mn3 0.729 0.396 0.000 1
Mn4 0.771 0.896 0.500 1
P1 0.042 0.963 0.709 1
P2 0.458 0.463 0.209 1
P3 0.542 0.537 0.709 1
P4 0.958 0.037 0.209 1
C1 0.006 0.291 0.349 1
C2 0.494 0.791 0.849 1
C3 0.506 0.209 0.349 1
C4 0.994 0.709 0.849 1
O1 0.091 0.937 0.142 1
O2 0.117 0.153 0.807 1
O3 0.121 0.359 0.378 1
O4 0.132 0.827 0.595 1
O5 0.368 0.327 0.095 1
O6 0.379 0.859 0.878 1
O7 0.383 0.653 0.307 1
O8 0.409 0.437 0.642 1
O9 0.591 0.563 0.142 1
O10 0.617 0.347 0.807 1
O11 0.621 0.141 0.378 1
O12 0.632 0.673 0.595 1
O13 0.868 0.173 0.095 1
O14 0.879 0.641 0.878 1
O15 0.883 0.847 0.307 1
O16 0.909 0.063 0.642 1
```

Peak list (8 most intense, 15° ≤ 2θ ≤ 90°, sorted by position)
18.8°, 4.716 Å, I 65, (1 1 0)
19.3°, 4.599 Å, I 31, (0 1 1)
21.4°, 4.161 Å, I 100, (1 1 1)
26.6°, 3.348 Å, I 36, (2 1 1)
27.2°, 3.277 Å, I 69, (2 0 2)
27.7°, 3.225 Å, I 39, (1 1 2)
32.0°, 2.799 Å, I 24, (2 1 2)
44.8°, 2.023 Å, I 19, (3 1 3)

[3]
# MnPCO4
Simulated powder diffractogram, Cu Kα (weighted mean of Kα1 and Kα2). Input: the GGA+U geometry in the Materials Project.

Atomic structure:
```
data_MnPCO4
_symmetry_space_group_name_H-M 'P 1'
_symmetry_Int_Tables_number 1
_cell_length_a 13.252
_cell_length_b 5.206
_cell_length_c 7.336
_cell_angle_alpha 90.00
_cell_angle_beta 90.00
_cell_angle_gamma 90.00
loop_
_symmetry_equiv_pos_as_xyz
'x,y,z'
loop_
_atom_site_label
_atom_site_fract_x
_atom_site_fract_y
_atom_site_fract_z
_atom_site_occupancy
Mn1 0.243 0.135 0.000 1
Mn2 0.257 0.635 0.500 1
Mn3 0.743 0.365 0.000 1
Mn4 0.757 0.865 0.500 1
P1 0.129 0.111 0.656 1
P2 0.371 0.611 0.156 1
P3 0.629 0.389 0.656 1
P4 0.871 0.889 0.156 1
C1 0.044 0.446 0.272 1
C2 0.456 0.946 0.772 1
C3 0.544 0.054 0.272 1
C4 0.956 0.554 0.772 1
O1 0.115 0.379 0.194 1
O2 0.126 0.993 0.850 1
O3 0.149 0.912 0.505 1
O4 0.207 0.335 0.657 1
O5 0.293 0.835 0.157 1
O6 0.351 0.412 0.005 1
O7 0.374 0.493 0.350 1
O8 0.385 0.879 0.694 1
O9 0.615 0.121 0.194 1
O10 0.626 0.507 0.850 1
O11 0.649 0.588 0.505 1
O12 0.707 0.165 0.657 1
O13 0.793 0.665 0.157 1
O14 0.851 0.088 0.005 1
O15 0.874 0.007 0.350 1
O16 0.885 0.621 0.694 1
```

Peak list (8 most intense, 15° ≤ 2θ ≤ 90°, sorted by position)
18.0°, 4.917 Å, I 42, (2 0 1)
20.9°, 4.246 Å, I 37, (0 1 1)
22.0°, 4.043 Å, I 69, (1 1 1)
24.9°, 3.575 Å, I 56, (2 1 1)
27.8°, 3.209 Å, I 59, (2 0 2)
29.2°, 3.061 Å, I 100, (3 1 1)
40.1°, 2.248 Å, I 34, (5 1 1)
43.1°, 2.098 Å, I 43, (2 1 3)

[4]
# MnCSO7
Simulated powder diffractogram, Cu Kα (weighted mean of Kα1 and Kα2). Input: the GGA+U geometry in the Materials Project.

Atomic structure:
```
data_MnCSO7
_symmetry_space_group_name_H-M 'P 1'
_symmetry_Int_Tables_number 1
_cell_length_a 5.141
_cell_length_b 6.221
_cell_length_c 8.711
_cell_angle_alpha 90.00
_cell_angle_beta 93.49
_cell_angle_gamma 90.00
loop_
_symmetry_equiv_pos_as_xyz
'x,y,z'
loop_
_atom_site_label
_atom_site_fract_x
_atom_site_fract_y
_atom_site_fract_z
_atom_site_occupancy
Mn1 0.218 0.250 0.330 1
Mn2 0.782 0.750 0.670 1
C1 0.268 0.250 0.058 1
C2 0.732 0.750 0.942 1
S1 0.282 0.750 0.425 1
S2 0.718 0.250 0.575 1
O1 0.043 0.250 0.124 1
O2 0.138 0.750 0.565 1
O3 0.213 0.563 0.323 1
O4 0.213 0.937 0.323 1
O5 0.299 0.250 0.919 1
O6 0.432 0.250 0.533 1
O7 0.465 0.250 0.163 1
O8 0.535 0.750 0.837 1
O9 0.568 0.750 0.467 1
O10 0.701 0.750 0.081 1
O11 0.787 0.063 0.677 1
O12 0.787 0.437 0.677 1
O13 0.862 0.250 0.435 1
O14 0.957 0.750 0.876 1
```

Peak list (8 most intense, 15° ≤ 2θ ≤ 90°, sorted by position)
17.5°, 5.059 Å, I 59, (0 1 1)
19.5°, 4.542 Å, I 82, (1 0 -1)
20.6°, 4.306 Å, I 72, (1 0 1)
22.5°, 3.959 Å, I 22, (1 1 0)
25.2°, 3.541 Å, I 42, (1 1 1)
26.0°, 3.421 Å, I 52, (1 0 -2)
28.7°, 3.110 Å, I 100, (0 2 0)
35.0°, 2.566 Å, I 29, (2 0 0)

[5]
# Sr5Mn4CO13
Simulated powder diffractogram, Cu Kα (weighted mean of Kα1 and Kα2). Input: the GGA+U geometry in the Materials Project.

Atomic structure:
```
data_Sr5Mn4CO13
_symmetry_space_group_name_H-M 'P 1'
_symmetry_Int_Tables_number 1
_cell_length_a 8.941
_cell_length_b 3.824
_cell_length_c 8.968
_cell_angle_alpha 90.00
_cell_angle_beta 90.12
_cell_angle_gamma 90.00
loop_
_symmetry_equiv_pos_as_xyz
'x,y,z'
loop_
_atom_site_label
_atom_site_fract_x
_atom_site_fract_y
_atom_site_fract_z
_atom_site_occupancy
Sr1 0.000 0.000 0.000 1
Sr2 0.175 0.000 0.615 1
Sr3 0.352 0.000 0.220 1
Sr4 0.574 0.000 0.793 1
Sr5 0.790 0.000 0.437 1
Mn1 0.078 0.500 0.312 1
Mn2 0.279 0.500 0.913 1
Mn3 0.479 0.500 0.513 1
Mn4 0.879 0.500 0.711 1
C1 0.685 0.500 0.103 1
O1 0.043 0.000 0.289 1
O2 0.070 0.500 0.811 1
O3 0.174 0.500 0.111 1
O4 0.290 0.500 0.413 1
O5 0.310 0.000 0.933 1
O6 0.384 0.500 0.725 1
O7 0.505 0.000 0.470 1
O8 0.539 0.500 0.095 1
O9 0.677 0.500 0.616 1
O10 0.754 0.500 0.230 1
O11 0.763 0.500 0.979 1
O12 0.861 0.000 0.739 1
O13 0.981 0.500 0.502 1
```

Peak list (8 most intense, 15° ≤ 2θ ≤ 90°, sorted by position)
31.6°, 2.832 Å, I 50, (1 0 3)
32.4°, 2.766 Å, I 100, (1 1 -2)
39.6°, 2.276 Å, I 24, (1 1 3)
45.2°, 2.006 Å, I 15, (2 0 -4)
47.6°, 1.912 Å, I 16, (0 2 0)
56.7°, 1.623 Å, I 17, (0 1 5)
56.8°, 1.620 Å, I 16, (3 1 4)
58.2°, 1.585 Å, I 17, (1 2 3)